[1]
# NdSmGa4
Calculated XRD peak list, a wavelength of 1.5418 Å. Input: a PBE-relaxed structure.
No peak broadening, texture or thermal motion is included.

Structural model:
```
6
Lattice="-2.128 2.128 7.431 2.128 -2.128 7.431 2.128 2.128 -7.431" Properties=species:S:1:pos:R:3 pbc="T T T"
Nd 0.000 0.000 0.000
Sm 0.000 2.128 3.716
Ga 2.128 0.000 2.487
Ga 2.128 0.000 4.944
Ga 0.000 0.000 6.192
Ga 0.000 0.000 8.671
```

Largest 10 diffraction maxima, in order of rising 2θ, 2θ from 10° to 90°:
two_theta, I_rel
27.63, 32
32.09, 100
36.89, 53
42.49, 41
47.88, 25
51.44, 12
57.50, 29
61.65, 13
65.91, 19
71.21, 20

[2]
# Nd3SmGa3
Calculated XRD peak list, a wavelength of 1.5418 Å. Input: a PBE-relaxed structure.
No peak broadening, texture or thermal motion is included.

Structural model:
```
14
Lattice="9.509 0.000 0.000 -4.755 8.235 0.000 0.000 0.000 4.832" Properties=species:S:1:pos:R:3 pbc="T T T"
Nd -1.039 2.158 1.208
Nd -2.366 8.056 1.208
Nd 1.350 1.979 3.624
Nd 3.405 6.256 1.208
Nd 7.121 0.179 3.624
Nd 5.793 6.077 3.624
Sm 0.000 5.490 3.624
Sm 4.755 2.745 1.208
Ga -2.317 4.974 1.208
Ga 1.606 3.741 1.208
Ga 4.043 0.480 3.624
Ga 0.712 7.755 1.208
Ga 3.149 4.494 3.624
Ga 7.072 3.261 3.624
```

Largest 10 diffraction maxima, in order of rising 2θ, 2θ from 10° to 90°:
two_theta, I_rel
26.30, 17
28.48, 25
28.68, 26
32.62, 15
34.27, 100
37.21, 26
47.65, 13
50.81, 10
51.97, 15
65.21, 15

[3]
# Nd3Sm3Ga4
Calculated XRD peak list, a wavelength of 1.5418 Å. Input: a PBE-relaxed structure.
No peak broadening, texture or thermal motion is included.

Structural model:
```
10
Lattice="4.501 0.000 0.000 0.000 5.506 5.539 0.000 -5.506 5.539" Properties=species:S:1:pos:R:3 pbc="T T T"
Nd 0.000 0.000 0.000
Nd 2.251 -2.765 6.391
Nd 2.251 2.765 6.391
Sm 0.000 -1.918 3.629
Sm 0.000 1.918 3.629
Sm 0.000 0.000 7.220
Ga 2.251 0.000 2.348
Ga 2.251 0.000 4.934
Ga 2.251 -1.299 9.141
Ga 2.251 1.299 9.141
```

Largest 10 diffraction maxima, in order of rising 2θ, 2θ from 10° to 90°:
two_theta, I_rel
25.47, 21
25.56, 20
30.30, 100
32.39, 87
32.50, 87
36.31, 34
36.45, 33
40.06, 37
55.22, 40
68.02, 26

[4]
# NdSmGa4
Calculated XRD peak list, a wavelength of 1.5418 Å. Input: a PBE-relaxed structure.
No peak broadening, texture or thermal motion is included.

Structural model:
```
6
Lattice="4.266 0.000 0.000 -2.133 3.695 0.000 0.000 0.000 8.527" Properties=species:S:1:pos:R:3 pbc="T T T"
Nd 0.000 0.000 0.000
Sm 0.000 0.000 4.263
Ga 0.000 2.463 2.157
Ga 0.000 2.463 6.370
Ga 2.133 1.232 2.157
Ga 2.133 1.232 6.370
```

Largest 10 diffraction maxima, in order of rising 2θ, 2θ from 10° to 90°:
two_theta, I_rel
24.09, 11
32.06, 100
42.38, 55
49.35, 5
54.11, 22
61.50, 27
67.03, 3
71.04, 29
77.51, 7
86.38, 6

[5]
# Nd2Sm2Ga
Calculated XRD peak list, a wavelength of 1.5418 Å. Input: a PBE-relaxed structure.
No peak broadening, texture or thermal motion is included.

Structural model:
```
10
Lattice="4.197 -4.928 0.000 4.197 4.928 0.000 -3.497 0.000 7.446" Properties=species:S:1:pos:R:3 pbc="T T T"
Nd 0.899 3.048 5.725
Nd 3.998 3.048 1.721
Nd 0.899 -3.048 5.725
Nd 3.998 -3.048 1.721
Sm -0.271 0.000 4.618
Sm 2.560 0.000 0.722
Sm 2.337 0.000 6.724
Sm 5.167 0.000 2.828
Ga 2.448 1.423 3.723
Ga 2.448 -1.423 3.723
```

Largest 10 diffraction maxima, in order of rising 2θ, 2θ from 10° to 90°:
two_theta, I_rel
28.00, 31
29.67, 100
30.06, 95
32.25, 91
33.43, 78
33.71, 74
34.99, 95
35.76, 41
49.98, 29
56.50, 29

[6]
# Nd2Sm6Ga
Calculated XRD peak list, a wavelength of 1.5418 Å. Input: a PBE-relaxed structure.
No peak broadening, texture or thermal motion is included.

Structural model:
```
18
Lattice="9.978 0.000 0.000 0.000 10.471 0.000 0.000 0.000 5.536" Properties=species:S:1:pos:R:3 pbc="T T T"
Nd 1.908 2.615 0.000
Nd 3.081 7.851 2.768
Nd 6.897 2.620 2.768
Nd 8.069 7.855 0.000
Sm 0.161 2.027 2.768
Sm 1.337 6.302 0.000
Sm 1.922 9.701 0.000
Sm 3.067 4.466 2.768
Sm 3.652 1.067 2.768
Sm 4.827 7.262 0.000
Sm 5.150 3.209 0.000
Sm 6.326 9.404 2.768
Sm 6.910 6.005 2.768
Sm 8.056 0.770 0.000
Sm 8.641 4.169 0.000
Sm 9.816 8.444 2.768
Ga 0.000 5.235 2.768
Ga 4.989 0.000 0.000
```

Largest 10 diffraction maxima, in order of rising 2θ, 2θ from 10° to 90°:
two_theta, I_rel
25.50, 11
30.27, 21
31.28, 39
31.38, 100
31.60, 85
32.35, 58
45.61, 27
56.01, 14
57.08, 18
57.22, 16

[7]
# Nd2Ga3Sn
Calculated XRD peak list, a wavelength of 1.5418 Å. Input: a PBE-relaxed structure.
No peak broadening, texture or thermal motion is included.

Structural model:
```
6
Lattice="4.313 0.000 0.000 0.000 4.373 0.000 0.000 0.000 7.628" Properties=species:S:1:pos:R:3 pbc="T T T"
Nd 0.000 0.000 0.000
Nd 0.000 2.186 3.701
Ga 2.157 0.000 2.439
Ga 2.157 0.000 4.879
Ga 2.157 2.186 1.321
Sn 2.157 2.186 6.317
```

Largest 10 diffraction maxima, in order of rising 2θ, 2θ from 10° to 90°:
two_theta, I_rel
31.37, 100
41.06, 29
41.29, 16
41.89, 14
52.47, 8
52.72, 15
60.11, 19
60.28, 10
69.13, 7
69.96, 10

[8]
# TbNd2Ga2
Calculated XRD peak list, a wavelength of 1.5418 Å. Input: a PBE-relaxed structure.
No peak broadening, texture or thermal motion is included.

Structural model:
```
10
Lattice="6.019 -2.373 0.000 6.019 2.373 0.000 -5.560 0.000 9.547" Properties=species:S:1:pos:R:3 pbc="T T T"
Tb 0.472 0.000 3.383
Tb 6.006 0.000 6.164
Nd -1.263 0.000 8.584
Nd 3.983 0.000 3.008
Nd 2.495 0.000 6.539
Nd 7.741 0.000 0.963
Ga -4.529 0.000 8.731
Ga -1.689 0.000 5.496
Ga 8.167 0.000 4.051
Ga 11.006 0.000 0.816
```

Largest 10 diffraction maxima, in order of rising 2θ, 2θ from 10° to 90°:
two_theta, I_rel
29.37, 44
29.72, 38
30.70, 100
31.23, 30
32.92, 60
36.07, 20
36.95, 38
37.69, 15
37.91, 49
53.44, 18

[9]
# TbNd2Ga3
Calculated XRD peak list, a wavelength of 1.5418 Å. Input: a PBE-relaxed structure.
No peak broadening, texture or thermal motion is included.

Structural model:
```
12
Lattice="5.170 0.000 0.000 -2.585 4.477 0.000 0.000 0.000 12.722" Properties=species:S:1:pos:R:3 pbc="T T T"
Tb 0.000 2.985 2.118
Tb 2.585 1.492 10.604
Nd 0.000 0.000 0.000
Nd 0.000 0.000 6.361
Nd 0.000 2.985 8.523
Nd 2.585 1.492 4.198
Ga 0.000 0.000 3.142
Ga 0.000 0.000 9.580
Ga 0.000 2.985 5.279
Ga 0.000 2.985 11.681
Ga 2.585 1.492 1.041
Ga 2.585 1.492 7.443
```

Largest 10 diffraction maxima, in order of rising 2θ, 2θ from 10° to 90°:
two_theta, I_rel
24.31, 28
34.59, 100
34.70, 99
49.81, 35
61.92, 18
62.16, 54
72.98, 11
73.24, 11
83.40, 16
83.59, 16

[10]
# TbNd3Ga
Calculated XRD peak list, a wavelength of 1.5418 Å. Input: a PBE-relaxed structure.
No peak broadening, texture or thermal motion is included.

Structural model:
```
10
Lattice="-3.712 5.613 4.044 3.712 -5.613 4.044 3.712 5.613 -4.044" Properties=species:S:1:pos:R:3 pbc="T T T"
Tb 0.000 2.807 0.233
Tb 3.712 2.807 3.811
Nd 1.856 5.769 -2.022
Nd 1.856 0.156 2.022
Nd 3.712 2.807 0.296
Nd 0.000 2.807 3.748
Nd -1.856 5.458 2.022
Nd 1.856 5.458 2.022
Ga 1.856 2.807 -2.022
Ga 1.856 -2.807 2.022
```

Largest 10 diffraction maxima, in order of rising 2θ, 2θ from 10° to 90°:
two_theta, I_rel
27.18, 94
28.84, 90
31.88, 55
32.75, 100
35.84, 17
46.36, 72
49.09, 17
54.18, 20
57.01, 24
59.73, 18

[11]
# Nd5Ga2Te2
Calculated XRD peak list, a wavelength of 1.5418 Å. Input: a PBE-relaxed structure.
No peak broadening, texture or thermal motion is included.

Structural model:
```
18
Lattice="7.942 -4.081 0.000 7.942 4.081 0.000 0.000 0.000 8.177" Properties=species:S:1:pos:R:3 pbc="T T T"
Nd 0.000 0.000 0.000
Nd 5.858 2.684 5.472
Nd 5.858 1.397 1.383
Nd 10.025 2.684 5.472
Nd 10.025 1.397 1.383
Nd 7.942 0.000 4.089
Nd 5.858 -1.397 6.795
Nd 5.858 -2.684 2.706
Nd 10.025 -1.397 6.795
Nd 10.025 -2.684 2.706
Ga 7.942 3.089 3.122
Ga 7.942 0.992 7.211
Ga 7.942 -0.992 0.967
Ga 7.942 -3.089 5.055
Te 3.233 0.000 0.000
Te 4.709 0.000 4.089
Te 11.174 0.000 4.089
Te 12.651 0.000 0.000
```

Largest 10 diffraction maxima, in order of rising 2θ, 2θ from 10° to 90°:
two_theta, I_rel
24.38, 30
29.70, 68
30.96, 49
31.42, 94
32.16, 43
33.34, 69
35.20, 100
37.51, 22
55.83, 25
63.88, 25

[12]
# Nd5GaTe3
Calculated XRD peak list, a wavelength of 1.5418 Å. Input: a PBE-relaxed structure.
No peak broadening, texture or thermal motion is included.

Structural model:
```
18
Lattice="9.513 0.000 0.000 -4.757 8.239 0.000 0.000 0.000 6.486" Properties=species:S:1:pos:R:3 pbc="T T T"
Nd -1.257 2.176 1.622
Nd -3.500 6.062 4.865
Nd 2.513 0.000 1.622
Nd 1.257 2.176 4.865
Nd 0.000 5.492 0.000
Nd 0.000 5.492 3.243
Nd 4.757 2.746 0.000
Nd 4.757 2.746 3.243
Nd 7.000 0.000 4.865
Nd 3.500 6.062 1.622
Ga 0.000 0.000 0.000
Ga 0.000 0.000 3.243
Te -1.843 3.193 4.865
Te -2.913 5.046 1.622
Te 3.687 0.000 4.865
Te 1.843 3.193 1.622
Te 5.826 0.000 1.622
Te 2.913 5.046 4.865
```

Largest 10 diffraction maxima, in order of rising 2θ, 2θ from 10° to 90°:
two_theta, I_rel
28.67, 12
31.88, 76
32.61, 77
33.44, 100
41.92, 16
47.40, 27
50.28, 14
51.45, 20
58.74, 19
67.02, 19

[13]
# Nd5GaTe4
Calculated XRD peak list, a wavelength of 1.5418 Å. Input: a PBE-relaxed structure.
No peak broadening, texture or thermal motion is included.

Structural model:
```
10
Lattice="-5.010 5.010 3.160 5.010 -5.010 3.160 5.010 5.010 -3.160" Properties=species:S:1:pos:R:3 pbc="T T T"
Nd 0.000 0.000 0.000
Nd 4.049 2.172 0.000
Nd 2.838 -0.960 3.160
Nd 2.172 5.970 0.000
Nd 0.960 2.838 3.160
Ga 0.000 0.000 3.160
Te 6.983 0.945 0.000
Te 0.945 3.036 0.000
Te 4.065 1.973 3.160
Te -1.973 4.065 3.160
```

Largest 10 diffraction maxima, in order of rising 2θ, 2θ from 10° to 90°:
two_theta, I_rel
28.19, 100
40.29, 75
49.90, 26
58.24, 8
58.41, 4
65.94, 21
66.09, 12
73.21, 15
73.32, 8
87.13, 5